The following is a simulated PXRD pattern of Ba2CaEr3O8. It was derived from a crystal structure in Alexandria, relaxed with GGA-PBE, using Cu Kα X-rays.

Structure:
```
data_Ba2CaEr3O8
_chemical_formula_sum 'Ba6 Ca3 Er9 O24'
_cell_length_a 6.9505
_cell_length_b 6.9505
_cell_length_c 18.5132
_cell_angle_alpha 90.00
_cell_angle_beta 90.00
_cell_angle_gamma 120.00
_symmetry_space_group_name_H-M 'R 3 m'
_symmetry_Int_Tables_number 160
_symmetry_space_group_name_Hall 'R 3 -2"'
loop_
_atom_site_label
_atom_site_fract_x
_atom_site_fract_y
_atom_site_fract_z
Ba1 0.0000 0.0000 0.0000
Ba2 0.0000 0.0000 0.3730
Ca1 0.0000 0.0000 0.7693
Er1 0.1674 0.3348 0.2061
O1 0.0000 0.0000 0.1430
O2 0.0000 0.0000 0.6025
O3 0.0211 0.5105 0.1393
O4 0.1848 0.3696 0.9365
```

Top 10 peaks for 10° ≤ 2θ ≤ 90°, in order of falling intensity:
h k l  2θ (°)  d (Å)  I/Imax
1 1 3  29.50  3.028  100
2 0 2  31.25  2.862  67
0 2 1  30.08  2.971  65
0 1 5  28.30  3.154  61
0 2 4  35.58  2.523  60
1 0 1  15.48  5.724  52
2 0 8  49.70  1.835  50
0 0 3  14.35  6.171  50
2 2 0  52.68  1.738  48
1 2 5  46.87  1.938  34

=====

The following is a simulated PXRD pattern of BaCaF. It was derived from a crystal structure in Alexandria, relaxed with GGA-PBE, using Cu Kα X-rays.

Structure:
```
data_BaCaF
_chemical_formula_sum 'Ba2 Ca2 F2'
_cell_length_a 4.024
_cell_length_b 4.024
_cell_length_c 13.208
_cell_angle_alpha 90.00
_cell_angle_beta 90.00
_cell_angle_gamma 90.00
_symmetry_space_group_name_H-M 'P 4/n m m'
_symmetry_Int_Tables_number 129
loop_
_symmetry_equiv_pos_as_xyz
'x,y,z'
'-x,-y,-z'
'-y+1/2,x,z'
'y+1/2,-x,-z'
'-x+1/2,-y+1/2,z'
'x+1/2,y+1/2,-z'
'y,-x+1/2,z'
'-y,x+1/2,-z'
'x+1/2,-y,-z'
'-x+1/2,y,z'
'-y,-x,-z'
'y,x,z'
'-x,y+1/2,-z'
'x,-y+1/2,z'
'y+1/2,x+1/2,-z'
'-y+1/2,-x+1/2,z'
loop_
_atom_site_label
_atom_site_fract_x
_atom_site_fract_y
_atom_site_fract_z
Ba1 0.250 0.250 0.142
Ca1 0.250 0.250 0.597
F1 0.250 0.750 0.500
```

Top 10 peaks for 10° ≤ 2θ ≤ 90°, in order of falling intensity:
h k l  2θ (°)  d (Å)  I/Imax
1 0 2  25.93  3.436  100
1 0 1  23.10  3.849  28
1 1 4  41.91  2.156  28
2 1 2  52.72  1.736  27
0 0 3  20.17  4.403  26
1 1 0  31.44  2.846  25
1 0 5  40.86  2.208  18
2 0 0  45.06  2.012  14
0 0 4  27.00  3.302  14
2 1 5  62.45  1.487  11

=====

The following is a simulated PXRD pattern of BaCa2F8. It was derived from a crystal structure in Alexandria, relaxed with GGA-PBE, using Cu Kα X-rays.

Structure:
```
data_BaCa2F8
_chemical_formula_sum 'Ba1 Ca2 F8'
_cell_length_a 4.8506
_cell_length_b 4.8506
_cell_length_c 7.6297
_cell_angle_alpha 90.00
_cell_angle_beta 90.00
_cell_angle_gamma 120.00
_symmetry_space_group_name_H-M 'P -3 m 1'
_symmetry_Int_Tables_number 164
_symmetry_space_group_name_Hall '-P 3 2"'
loop_
_atom_site_label
_atom_site_fract_x
_atom_site_fract_y
_atom_site_fract_z
Ba1 0.0000 0.0000 0.0000
Ca1 0.3333 0.6667 0.6305
F1 0.1690 0.3380 0.3417
F2 0.3333 0.6667 0.9169
```

Top 10 peaks for 10° ≤ 2θ ≤ 90°, in order of falling intensity:
h k l  2θ (°)  d (Å)  I/Imax
1 0 1  24.19  3.680  100
0 2 1  44.75  2.025  52
1 1 0  37.07  2.425  39
0 1 2  31.68  2.824  36
0 0 3  35.29  2.543  32
2 0 2  49.54  1.840  28
1 0 0  21.15  4.201  26
1 1 2  44.25  2.047  26
1 1 1  38.97  2.311  24
1 0 3  41.51  2.176  23

=====

The following is a simulated PXRD pattern of Ba3CaF8. It was derived from a crystal structure in Alexandria, relaxed with GGA-PBE, using Cu Kα X-rays.

Structure:
```
data_Ba3CaF8
_chemical_formula_sum 'Ba6 Ca2 F16'
_cell_length_a 6.098
_cell_length_b 6.098
_cell_length_c 12.147
_cell_angle_alpha 90.00
_cell_angle_beta 90.00
_cell_angle_gamma 90.00
_symmetry_space_group_name_H-M 'I 4/m m m'
_symmetry_Int_Tables_number 139
_symmetry_space_group_name_Hall '-I 4 2'
loop_
_atom_site_label
_atom_site_fract_x
_atom_site_fract_y
_atom_site_fract_z
Ba1 0.000 0.000 0.000
Ba2 0.000 0.500 0.250
Ca1 0.000 0.000 0.500
F1 0.235 0.235 0.382
```

Top 10 peaks for 10° ≤ 2θ ≤ 90°, in order of falling intensity:
h k l  2θ (°)  d (Å)  I/Imax
1 1 2  25.33  3.516  100
2 0 4  41.96  2.153  68
3 1 2  49.60  1.838  31
1 1 6  49.75  1.833  15
2 0 0  29.29  3.049  14
4 2 4  76.60  1.244  13
3 1 6  67.03  1.396  13
1 0 1  16.26  5.450  8
5 1 2  82.15  1.173  7
4 0 0  60.76  1.524  7

=====

The following is a simulated PXRD pattern of BaCaGaF7. It was derived from a crystal structure in Alexandria, relaxed with GGA-PBE, using Cu Kα X-rays.

Structure:
```
data_BaCaGaF7
_chemical_formula_sum 'Ba4 Ca4 Ga4 F28'
_cell_length_a 5.488
_cell_length_b 5.519
_cell_length_c 19.875
_cell_angle_alpha 90.00
_cell_angle_beta 103.67
_cell_angle_gamma 90.00
_symmetry_space_group_name_H-M 'P 1 2/c 1'
_symmetry_Int_Tables_number 13
_symmetry_space_group_name_Hall '-P 2yc'
loop_
_atom_site_label
_atom_site_fract_x
_atom_site_fract_y
_atom_site_fract_z
Ba1 0.182 0.243 0.432
Ca1 0.000 0.324 0.750
Ca2 0.500 0.209 0.250
Ga1 0.322 0.225 0.619
F1 0.001 0.284 0.943
F2 0.153 0.024 0.677
F3 0.232 0.371 0.308
F4 0.254 0.491 0.675
F5 0.344 0.055 0.064
F6 0.375 0.129 0.816
F7 0.472 0.409 0.561
```

Top 10 peaks for 10° ≤ 2θ ≤ 90°, in order of falling intensity:
h k l  2θ (°)  d (Å)  I/Imax
1 1 -1  22.86  3.890  100
1 1 1  24.42  3.645  69
0 1 5  28.20  3.164  40
0 0 6  27.71  3.219  39
1 1 -5  29.92  2.987  37
0 2 6  43.18  2.095  31
1 2 -6  43.94  2.061  29
1 1 3  29.06  3.073  28
2 1 -7  44.44  2.038  28
0 2 0  32.45  2.759  27

=====

The following is a simulated PXRD pattern of BaCa2TlF. It was derived from a crystal structure in Alexandria, relaxed with GGA-PBE, using Cu Kα X-rays.

Structure:
```
data_BaCa2TlF
_chemical_formula_sum 'Ba1 Ca2 Tl1 F1'
_cell_length_a 5.200
_cell_length_b 5.200
_cell_length_c 5.473
_cell_angle_alpha 90.00
_cell_angle_beta 90.00
_cell_angle_gamma 90.00
_symmetry_space_group_name_H-M 'P 4/m m m'
_symmetry_Int_Tables_number 123
_symmetry_space_group_name_Hall '-P 4 2'
loop_
_atom_site_label
_atom_site_fract_x
_atom_site_fract_y
_atom_site_fract_z
Ba1 0.000 0.000 0.000
Ca1 0.000 0.500 0.500
Tl1 0.500 0.500 0.000
F1 0.000 0.000 0.500
```

Top 10 peaks for 10° ≤ 2θ ≤ 90°, in order of falling intensity:
h k l  2θ (°)  d (Å)  I/Imax
1 1 1  29.26  3.052  100
2 0 0  34.49  2.600  39
1 1 0  24.20  3.677  36
0 0 1  16.20  5.473  31
2 0 2  48.29  1.885  30
3 1 1  58.62  1.575  28
0 0 2  32.73  2.736  23
1 1 2  41.12  2.195  18
2 0 1  38.33  2.349  16
1 1 3  56.30  1.634  16